Th2AlNi7: theoretical XRD peak list (a wavelength of 1.5418 Å), based on the PBE geometry in Alexandria.

Top 10 peaks for 5 to 70 degrees two-theta, by intensity:
- hkl 1 1 2, 37.3°, I = 100
- hkl 1 0 3, 34.3°, I = 75
- hkl 2 0 0, 47.7°, I = 43
- hkl 1 0 5, 48.6°, I = 36
- hkl 1 0 1, 24.8°, I = 35
- hkl 1 1 0, 33.2°, I = 32
- hkl 2 1 3, 60.1°, I = 30
- hkl 0 0 2, 16.5°, I = 23
- hkl 0 0 1, 8.2°, I = 13
- hkl 2 2 0, 69.7°, I = 13

Structure:
```
data_Th2AlNi7
_cell_length_a 3.815
_cell_length_b 3.815
_cell_length_c 10.747
_cell_angle_alpha 90.00
_cell_angle_beta 90.00
_cell_angle_gamma 90.00
_space_group_name_H-M_alt 'P -4 m 2'
_space_group_IT_number 115
loop_
_space_group_symop_operation_xyz
'x,y,z'
'y,-x,-z'
'-x,-y,z'
'-y,x,-z'
'-x,y,z'
'-y,-x,-z'
'x,-y,z'
'y,x,-z'
loop_
_atom_site_label
_atom_site_fract_x
_atom_site_fract_y
_atom_site_fract_z
_atom_site_occupancy
Th1 0.000 0.500 0.231 1
Al1 0.000 0.000 0.500 1
Ni1 0.000 0.000 0.000 1
Ni2 0.000 0.500 0.640 1
Ni3 0.000 0.500 0.860 1
Ni4 0.500 0.500 0.000 1
Ni5 0.500 0.500 0.500 1
```


Th2AlNi4: theoretical XRD peak list (a wavelength of 1.5418 Å), based on the PBE geometry in Alexandria.

Top 10 peaks for 5 to 70 degrees two-theta, by intensity:
- hkl 2 2 2, 38.5°, I = 100
- hkl 2 2 0, 32.2°, I = 57
- hkl 2 0 2, 30.9°, I = 53
- hkl 0 0 2, 20.5°, I = 53
- hkl 0 2 0, 22.5°, I = 34
- hkl 0 0 4, 41.8°, I = 26
- hkl 2 2 4, 53.7°, I = 25
- hkl 4 0 0, 46.5°, I = 20
- hkl 0 4 2, 50.8°, I = 19
- hkl 0 2 2, 30.6°, I = 17

Structure:
```
data_Th2AlNi4
_cell_length_a 7.810
_cell_length_b 7.911
_cell_length_c 8.648
_cell_angle_alpha 90.00
_cell_angle_beta 90.00
_cell_angle_gamma 90.00
_space_group_name_H-M_alt 'F m m m'
_space_group_IT_number 69
_space_group_name_Hall '-F 2 2'
loop_
_atom_site_label
_atom_site_fract_x
_atom_site_fract_y
_atom_site_fract_z
_atom_site_occupancy
Th1 0.250 0.250 0.250 1
Al1 0.000 0.000 0.000 1
Ni1 0.000 0.000 0.274 1
Ni2 0.000 0.177 0.500 1
```


Th2AlNi6: theoretical XRD peak list (a wavelength of 1.5418 Å), based on the PBE geometry in Alexandria.

Top 10 peaks for 5 to 70 degrees two-theta, by intensity:
- hkl 2 0 1, 42.1°, I = 100
- hkl 1 0 1, 24.7°, I = 63
- hkl 0 1 2, 36.9°, I = 48
- hkl 0 0 2, 31.2°, I = 26
- hkl 1 1 0, 33.5°, I = 25
- hkl 2 0 0, 38.9°, I = 22
- hkl 2 1 1, 54.9°, I = 19
- hkl 1 1 3, 59.5°, I = 19
- hkl 1 2 2, 62.2°, I = 18
- hkl 1 1 1, 37.1°, I = 18

Structure:
```
data_Th2AlNi6
_cell_length_a 5.3462
_cell_length_b 5.3462
_cell_length_c 5.7286
_cell_angle_alpha 90.00
_cell_angle_beta 90.00
_cell_angle_gamma 120.00
_space_group_name_H-M_alt 'P -3 m 1'
_space_group_IT_number 164
_space_group_name_Hall '-P 3 2"'
loop_
_atom_site_label
_atom_site_fract_x
_atom_site_fract_y
_atom_site_fract_z
_atom_site_occupancy
Th1 0.3333 0.6667 0.1962 1
Al1 0.0000 0.0000 0.0000 1
Ni1 0.1719 0.3437 0.6744 1
```


Th2Al15Ni10: theoretical XRD peak list (a wavelength of 1.5418 Å), based on the PBE geometry in Alexandria.

Top 10 peaks for 5 to 70 degrees two-theta, by intensity:
- hkl 1 3 2, 34.5°, I = 100
- hkl 1 3 4, 38.6°, I = 89
- hkl 1 1 2, 25.9°, I = 84
- hkl 0 2 6, 33.5°, I = 76
- hkl 0 0 2, 9.7°, I = 75
- hkl 1 1 4, 31.0°, I = 72
- hkl 0 3 7, 42.3°, I = 71
- hkl 2 0 0, 46.0°, I = 59
- hkl 0 2 2, 18.6°, I = 54
- hkl 1 2 5, 37.2°, I = 47

Structure:
```
data_Th2Al15Ni10
_cell_length_a 3.943
_cell_length_b 11.193
_cell_length_c 18.244
_cell_angle_alpha 90.00
_cell_angle_beta 90.00
_cell_angle_gamma 90.00
_space_group_name_H-M_alt 'I m m m'
_space_group_IT_number 71
_space_group_name_Hall '-I 2 2'
loop_
_atom_site_label
_atom_site_fract_x
_atom_site_fract_y
_atom_site_fract_z
_atom_site_occupancy
Th1 0.000 0.000 0.228 1
Al1 0.000 0.000 0.000 1
Al2 0.000 0.125 0.396 1
Al3 0.000 0.173 0.086 1
Al4 0.000 0.305 0.205 1
Al5 0.000 0.381 0.000 1
Ni1 0.000 0.277 0.500 1
Ni2 0.000 0.319 0.336 1
Ni3 0.000 0.500 0.122 1
Ni4 0.000 0.500 0.421 1
```


Th2AlNi4: theoretical XRD peak list (a wavelength of 1.5418 Å), based on the PBE geometry in Alexandria.

Top 10 peaks for 5 to 70 degrees two-theta, by intensity:
- hkl 1 3 1, 35.1°, I = 100
- hkl 0 0 1, 21.6°, I = 64
- hkl 0 4 1, 35.2°, I = 58
- hkl 2 0 0, 36.1°, I = 55
- hkl 1 3 0, 27.3°, I = 41
- hkl 2 4 1, 51.3°, I = 40
- hkl 1 7 0, 52.6°, I = 37
- hkl 1 1 1, 29.0°, I = 35
- hkl 0 4 0, 27.4°, I = 32
- hkl 0 0 2, 44.1°, I = 31

Structure:
```
data_Th2AlNi4
_cell_length_a 4.973
_cell_length_b 13.006
_cell_length_c 4.110
_cell_angle_alpha 90.00
_cell_angle_beta 90.00
_cell_angle_gamma 90.00
_space_group_name_H-M_alt 'C m m m'
_space_group_IT_number 65
_space_group_name_Hall '-C 2 2'
loop_
_atom_site_label
_atom_site_fract_x
_atom_site_fract_y
_atom_site_fract_z
_atom_site_occupancy
Th1 0.000 0.150 0.000 1
Al1 0.000 0.500 0.500 1
Ni1 0.000 0.302 0.500 1
Ni2 0.000 0.406 0.000 1
```


TmTh2Al12Ni3: theoretical XRD peak list (a wavelength of 1.5418 Å), based on the PBE geometry in Alexandria.

Top 10 peaks for 5 to 70 degrees two-theta, by intensity:
- hkl 1 1 0, 21.1°, I = 100
- hkl 1 0 7, 36.0°, I = 92
- hkl 1 2 2, 33.9°, I = 64
- hkl 2 0 2, 26.2°, I = 60
- hkl 0 1 2, 15.4°, I = 59
- hkl 0 2 1, 24.8°, I = 57
- hkl 2 2 0, 42.9°, I = 57
- hkl 0 1 5, 26.9°, I = 55
- hkl 1 2 5, 40.7°, I = 48
- hkl 2 1 7, 47.5°, I = 41

Structure:
```
data_TmTh2Al12Ni3
_cell_length_a 8.4356
_cell_length_b 8.4356
_cell_length_c 18.5712
_cell_angle_alpha 90.00
_cell_angle_beta 90.00
_cell_angle_gamma 120.00
_space_group_name_H-M_alt 'R -3 m'
_space_group_IT_number 166
_space_group_name_Hall '-R 3 2"'
loop_
_atom_site_label
_atom_site_fract_x
_atom_site_fract_y
_atom_site_fract_z
_atom_site_occupancy
Tm1 0.0000 0.0000 0.0000 1
Th1 0.0000 0.0000 0.4183 1
Al1 0.0709 0.5354 0.8144 1
Al2 0.0902 0.5451 0.3806 1
Ni1 0.0000 0.5000 0.5000 1
```


Th2Al4ZnNi3: theoretical XRD peak list (a wavelength of 1.5418 Å), based on the PBE geometry in Alexandria.

Top 10 peaks for 5 to 70 degrees two-theta, by intensity:
- hkl 1 1 2, 35.1°, I = 100
- hkl 1 0 3, 34.2°, I = 80
- hkl 1 0 1, 23.0°, I = 64
- hkl 2 0 0, 43.1°, I = 45
- hkl 2 1 3, 56.1°, I = 39
- hkl 1 1 0, 30.1°, I = 34
- hkl 1 0 5, 50.2°, I = 31
- hkl 2 1 5, 68.2°, I = 25
- hkl 0 0 2, 17.6°, I = 21
- hkl 2 1 1, 49.4°, I = 18

Structure:
```
data_Th2Al4ZnNi3
_cell_length_a 4.197
_cell_length_b 4.197
_cell_length_c 10.092
_cell_angle_alpha 90.00
_cell_angle_beta 90.00
_cell_angle_gamma 90.00
_space_group_name_H-M_alt 'P -4 m 2'
_space_group_IT_number 115
loop_
_space_group_symop_operation_xyz
'x,y,z'
'y,-x,-z'
'-x,-y,z'
'-y,x,-z'
'-x,y,z'
'-y,-x,-z'
'x,-y,z'
'y,x,-z'
loop_
_atom_site_label
_atom_site_fract_x
_atom_site_fract_y
_atom_site_fract_z
_atom_site_occupancy
Th1 0.000 0.500 0.250 1
Al1 0.000 0.000 0.000 1
Al2 0.000 0.500 0.636 1
Al3 0.500 0.500 0.000 1
Zn1 0.000 0.000 0.500 1
Ni1 0.000 0.500 0.872 1
Ni2 0.500 0.500 0.500 1
```


Ti2Al6Ni: theoretical XRD peak list (a wavelength of 1.5418 Å), based on the PBE geometry in Alexandria.

Top 10 peaks for 5 to 70 degrees two-theta, by intensity:
- hkl 2 2 1, 41.6°, I = 100
- hkl 3 3 0, 42.9°, I = 93
- hkl 1 1 1, 33.2°, I = 89
- hkl 1 5 1, 47.0°, I = 54
- hkl 0 6 0, 39.9°, I = 52
- hkl 1 3 0, 23.3°, I = 46
- hkl 2 4 1, 48.0°, I = 34
- hkl 1 1 0, 14.0°, I = 26
- hkl 2 8 1, 68.9°, I = 20
- hkl 0 0 2, 62.3°, I = 17

Structure:
```
data_Ti2Al6Ni
_cell_length_a 7.145
_cell_length_b 13.556
_cell_length_c 2.983
_cell_angle_alpha 90.00
_cell_angle_beta 90.00
_cell_angle_gamma 90.00
_space_group_name_H-M_alt 'C m m m'
_space_group_IT_number 65
_space_group_name_Hall '-C 2 2'
loop_
_atom_site_label
_atom_site_fract_x
_atom_site_fract_y
_atom_site_fract_z
_atom_site_occupancy
Ti1 0.000 0.191 0.000 1
Al1 0.182 0.342 0.500 1
Al2 0.200 0.000 0.000 1
Ni1 0.000 0.500 0.500 1
```